Entry 1:
The following is a simulated powder diffraction line list of ErPPt4. It was derived from a crystal structure in Alexandria, relaxed with GGA-PBE, using a wavelength of 1.5418 Å.
Lines closer than 0.1° are merged.

Principal peaks in the range 2θ = 10–90°, in order of rising 2θ:
Position (°2θ)	d (Å)	intensity
35.59	2.523	100
37.22	2.416	76
44.43	2.039	46
46.37	1.958	28
66.16	1.412	28
67.70	1.384	19

Cell and atoms:
```
ErPPt4
1.0
1.958 -7.673 0.000
1.958 7.673 0.000
0.000 0.000 6.754
Er P Pt
2 2 8
Cartesian
1.958 6.119 5.065 Er
1.958 -6.119 1.688 Er
1.958 3.987 1.688 P
1.958 -3.987 5.065 P
1.958 6.416 1.688 Pt
1.958 2.793 3.632 Pt
1.958 2.793 6.498 Pt
1.958 0.000 0.000 Pt
1.958 0.000 3.377 Pt
1.958 -2.793 0.255 Pt
1.958 -2.793 3.121 Pt
1.958 -6.416 5.065 Pt
```



Entry 2:
The following is a simulated powder diffraction line list of ErP2Pt7. It was derived from a crystal structure in Alexandria, relaxed with GGA-PBE, using a wavelength of 1.5418 Å.
Lines closer than 0.1° are merged.

Principal peaks in the range 2θ = 10–90°, in order of rising 2θ:
Position (°2θ)	d (Å)	intensity
31.54	2.837	33
32.78	2.732	31
36.27	2.477	34
41.53	2.175	100
45.21	2.006	57
80.92	1.188	30

Cell and atoms:
```
ErP2Pt7
1.0
-2.006 2.006 10.160
2.006 -2.006 10.160
2.006 2.006 -10.160
Er P Pt
1 2 7
Cartesian
0.000 0.000 0.000 Er
0.000 0.000 6.623 P
0.000 0.000 13.696 P
2.006 0.000 2.153 Pt
2.006 0.000 5.080 Pt
2.006 0.000 8.007 Pt
0.000 0.000 10.160 Pt
0.000 2.006 2.153 Pt
0.000 2.006 5.080 Pt
0.000 2.006 8.007 Pt
```



Entry 3:
The following is a simulated powder diffraction line list of SrErP2Pt4. It was derived from a crystal structure in Alexandria, relaxed with GGA-PBE, using a wavelength of 1.5418 Å.
Lines closer than 0.1° are merged.

Principal peaks in the range 2θ = 10–90°, in order of rising 2θ:
Position (°2θ)	d (Å)	intensity
18.01	4.924	36
28.39	3.144	19
36.05	2.492	100
41.65	2.169	34
44.35	2.043	40
76.19	1.250	23

Cell and atoms:
```
SrErP2Pt4
1.0
4.085 0.000 0.000
0.000 4.085 0.000
0.000 0.000 9.849
Sr Er P Pt
1 1 2 4
Cartesian
0.000 0.000 0.000 Sr
0.000 0.000 4.924 Er
2.043 2.043 1.649 P
2.043 2.043 8.200 P
0.000 2.043 2.835 Pt
0.000 2.043 7.014 Pt
2.043 0.000 2.835 Pt
2.043 0.000 7.014 Pt
```